No. 1
For Al2PtSe, DFT lattice parameters and positions (PBE) gives the simulated powder diffractogram in this record (CuKα).
Intensities are scaled so that the largest is 100.

Largest 10 diffraction maxima, sorted by position, 15 to 90 degrees two-theta:
h k l  two_theta  I_rel
0 1 1  27.21  56.8
0 0 4  28.49  61.9
1 0 2  28.92  100.0
0 1 3  34.02  45.1
1 1 1  37.35  89.9
1 1 3  42.74  75.0
0 1 5  44.95  32.1
1 0 6  50.72  34.2
1 1 5  52.17  20.7
1 2 2  62.42  23.0

Atomic structure:
Lattice parameters (Å, degrees): 3.5481 3.3960 12.5327 90.00 90.00 90.00
Space group Amm2 (No. 38)
Unique sites:
Al 0.0000 0.0000 0.0000
Al 0.5000 0.0000 0.2146
Pt 0.0000 0.0000 0.6581
Se 0.5000 0.0000 0.4172

No. 2
For Al2PtSe, DFT lattice parameters and positions (PBE) gives the simulated powder diffractogram in this record (CuKα).
Intensities are scaled so that the largest is 100.

Largest 10 diffraction maxima, sorted by position, 15 to 90 degrees two-theta:
h k l  two_theta  I_rel
0 0 2  24.40  66.8
0 1 0  26.11  53.1
1 0 1  34.44  73.9
0 1 2  36.04  100.0
1 1 1  43.72  93.5
1 0 3  49.75  37.7
1 1 3  57.04  29.0
1 2 1  65.38  23.3
2 1 2  78.64  24.8
1 1 5  79.23  21.9

Atomic structure:
Lattice parameters (Å, degrees): 2.7881 3.4127 7.2965 90.00 90.00 90.00
Space group Pmmm (No. 47)
Unique sites:
Al 0.0000 0.0000 0.2091
Pt 0.5000 0.5000 0.0000
Se 0.0000 0.5000 0.5000

No. 3
For Sm2AlSiPt6, DFT lattice parameters and positions (PBE) gives the simulated powder diffractogram in this record (CuKα).
Intensities are scaled so that the largest is 100.

Largest 10 diffraction maxima, sorted by position, 15 to 90 degrees two-theta:
h k l  two_theta  I_rel
2 0 -2  21.67  27.4
1 1 -2  28.60  33.4
0 0 2  29.11  44.5
3 1 -2  29.42  27.7
4 0 -2  30.71  40.8
2 2 0  38.66  100.0
2 2 -2  39.40  51.8
4 0 0  41.43  61.4
0 2 2  44.18  20.5
6 2 0  73.72  18.1

Atomic structure:
Lattice parameters (Å, degrees): 11.6683 5.5099 8.2117 90.00 131.66 90.00
Space group C2/m (No. 12)
Unique sites:
Sm 0.2417 0.0000 0.2012
Al 0.0000 0.5000 0.0000
Si 0.0000 0.0000 0.5000
Pt 0.0040 0.2498 0.7477
Pt 0.2502 0.0000 0.6142